(1)
Simulated X-ray diffraction stick pattern
Compound: Pm12PrY2
Radiation: Cu Kα (weighted mean of Kα1 and Kα2)
Structure: DFT lattice parameters and positions (GGA-PBE)
Neutral-atom scattering factors, no anomalous dispersion.

The 12 most intense peaks (2θ from 10° to 80°), by angle:
d = 4.348 Å, rel. 68, hkl 1 1 2
d = 3.167 Å, rel. 64, hkl 2 0 2
d = 3.052 Å, rel. 59, hkl 2 0 3
d = 2.908 Å, rel. 91, hkl 2 0 4
d = 2.865 Å, rel. 98, hkl 1 1 7
d = 2.839 Å, rel. 67, hkl 0 0 9
d = 2.766 Å, rel. 100, hkl 2 1 3
d = 2.411 Å, rel. 63, hkl 2 1 6
d = 2.312 Å, rel. 50, hkl 2 2 0
d = 1.924 Å, rel. 27, hkl 2 1 10
d = 1.671 Å, rel. 50, hkl 3 1 9
d = 1.420 Å, rel. 40, hkl 0 0 18

Cell and atoms:
Cell lengths 6.539, 6.539, 25.547 Å; angles 90.00, 90.00, 90.00 degrees
Space group P4/nbm (No. 125, origin choice 2)
Asymmetric unit:
Pm 0.067 0.567 0.117 x8
Pm 0.082 0.582 0.438 x8
Pm 0.250 0.250 0.217 x4
Pm 0.250 0.250 0.339 x4
Pr 0.250 0.750 0.000 x2
Y 0.250 0.750 0.275 x4



(2)
Simulated X-ray diffraction stick pattern
Compound: VCu12SnAs2S16
Radiation: Cu Kα (weighted mean of Kα1 and Kα2)
Structure: DFT lattice parameters and positions (GGA-PBE)
Neutral-atom scattering factors, no anomalous dispersion.

The 12 most intense peaks (2θ from 10° to 80°), by angle:
d = 4.338 Å, rel. 1, hkl 2 1 1
d = 3.069 Å, rel. 100, hkl 2 2 2
d = 2.842 Å, rel. 1, hkl 2 1 3
d = 2.658 Å, rel. 12, hkl 0 0 4
d = 1.879 Å, rel. 59, hkl 4 0 4
d = 1.605 Å, rel. 13, hkl 2 2 6
d = 1.602 Å, rel. 26, hkl 6 2 2
d = 1.534 Å, rel. 3, hkl 4 4 4
d = 1.331 Å, rel. 3, hkl 0 0 8
d = 1.328 Å, rel. 6, hkl 8 0 0
d = 1.220 Å, rel. 10, hkl 6 2 6
d = 1.219 Å, rel. 5, hkl 6 6 2

Cell and atoms:
Cell lengths 10.621, 10.621, 10.651 Å; angles 90.00, 90.00, 90.00 degrees
Space group I-42m (No. 121)
Asymmetric unit:
V 0.000 0.000 0.000 x2
Cu 0.003 0.253 0.750 x16
Cu 0.247 0.247 0.999 x8
Sn 0.000 0.000 0.500 x2
As 0.000 0.500 0.000 x4
S 0.119 0.119 0.878 x8
S 0.125 0.372 0.125 x16
S 0.133 0.133 0.366 x8



(3)
Simulated X-ray diffraction stick pattern
Compound: NdTm3Ni8
Radiation: Cu Kα (weighted mean of Kα1 and Kα2)
Structure: DFT lattice parameters and positions (GGA-PBE)
Neutral-atom scattering factors, no anomalous dispersion.

The 12 most intense peaks (2θ from 10° to 80°), by angle:
d = 3.011 Å, rel. 13, hkl 0 1 2
d = 2.538 Å, rel. 65, hkl 1 1 0
d = 2.335 Å, rel. 98, hkl 1 0 3
d = 2.198 Å, rel. 16, hkl 2 0 0
d = 2.163 Å, rel. 100, hkl 1 1 2
d = 2.124 Å, rel. 57, hkl 0 2 1
d = 1.548 Å, rel. 11, hkl 1 0 5
d = 1.465 Å, rel. 12, hkl 3 0 0
d = 1.423 Å, rel. 41, hkl 2 1 3
d = 1.381 Å, rel. 23, hkl 3 0 2
d = 1.321 Å, rel. 28, hkl 0 2 5
d = 1.269 Å, rel. 23, hkl 2 2 0

Cell and atoms:
Cell lengths 5.0751, 5.0751, 8.2676 Å; angles 90.00, 90.00, 120.00 degrees
Space group P3m1 (No. 156)
Asymmetric unit:
Nd 0.0000 0.0000 0.0000 x1
Tm 0.0000 0.0000 0.3762 x1
Tm 0.6667 0.3333 0.4965 x1
Tm 0.6667 0.3333 0.8673 x1
Ni 0.9998 0.4999 0.1892 x3
Ni 0.1680 0.3359 0.6807 x3
Ni 0.3333 0.6667 0.4331 x1
Ni 0.3333 0.6667 0.9329 x1